The following is a computed powder X-ray diffraction pattern of Sm3GaNiS7. It was derived from a structure optimized by DFT (GGA-PBE), using Cu Ka.
Peak positions follow from Bragg's law for the DFT cell and can differ from measured ones.

Main lines, by angle (10° ≤ 2θ ≤ 90°):
2θ/deg	Rel. int.
17.8	21.5
25.5	100.0
28.0	20.1
28.9	14.9
34.3	15.0
35.0	29.3
36.0	36.9
36.9	39.6
40.6	19.0
41.2	16.5
49.2	21.9
51.8	16.7

```
Sm3GaNiS7
1.0
9.7487 0.0000 0.0000
-4.8743 8.4426 0.0000
0.0000 0.0000 6.1865
Sm Ga Ni S
6 2 2 14
Direct
0.1545 0.3742 0.0000
0.2197 0.8455 0.0000
0.3742 0.2197 0.5000
0.6258 0.7803 0.0000
0.7803 0.1545 0.5000
0.8455 0.6258 0.5000
0.3333 0.6667 0.5736
0.6667 0.3333 0.0736
0.0000 0.0000 0.1844
0.0000 0.0000 0.6844
0.0880 0.5675 0.7271
0.0966 0.2282 0.4195
0.1316 0.9034 0.4195
0.2282 0.1316 0.9195
0.3333 0.6667 0.2089
0.4325 0.5205 0.7271
0.4795 0.9120 0.7271
0.5205 0.0880 0.2271
0.5675 0.4795 0.2271
0.6667 0.3333 0.7089
0.7718 0.8684 0.4195
0.8684 0.0966 0.9195
0.9034 0.7718 0.9195
0.9120 0.4325 0.2271
```

The following is a computed powder X-ray diffraction pattern of Nd2Ge3Pt. It was derived from a structure optimized by DFT (GGA-PBE), using Cu Ka.
Peak positions follow from Bragg's law for the DFT cell and can differ from measured ones.

Main lines, by angle (10° ≤ 2θ ≤ 90°):
2θ/deg	Rel. int.
12.0	14.6
31.9	100.0
32.3	50.9
41.2	24.6
42.2	45.6
43.0	23.1
53.3	24.8
54.4	11.2
61.0	15.3
61.8	29.3
69.2	10.9
71.2	10.9

```
Nd2Ge3Pt
1.0
4.2062 0.0000 0.0000
0.0000 4.3864 0.0000
0.0000 0.0000 7.3639
Nd Ge Pt
2 3 1
Direct
0.0000 0.0000 0.0000
0.0000 0.5000 0.4959
0.5000 0.0000 0.6587
0.5000 0.5000 0.1736
0.5000 0.5000 0.8324
0.5000 0.0000 0.3272
```

The following is a computed powder X-ray diffraction pattern of SrGaCu2. It was derived from a structure optimized by DFT (GGA-PBE), using Cu Ka.
Peak positions follow from Bragg's law for the DFT cell and can differ from measured ones.

Main lines, by angle (10° ≤ 2θ ≤ 90°):
2θ/deg	Rel. int.
16.6	49.1
24.6	20.7
32.9	63.2
33.6	44.6
37.1	34.1
42.2	100.0
45.6	21.5
54.5	14.6
55.0	62.7
63.3	23.2
77.1	15.6
86.8	16.5

```
SrGaCu2
1.0
2.1433 1.2375 5.3300
-2.1433 1.2375 5.3300
0.0000 -2.4749 5.3300
Sr Ga Cu
1 1 2
Direct
0.0000 0.0000 0.0000
0.5000 0.5000 0.5000
0.1895 0.1895 0.1895
0.8105 0.8105 0.8105
```

The following is a computed powder X-ray diffraction pattern of Zr2PbC. It was derived from a structure optimized by DFT (GGA-PBE), using Cu Ka.
Peak positions follow from Bragg's law for the DFT cell and can differ from measured ones.

Main lines, by angle (10° ≤ 2θ ≤ 90°):
2θ/deg	Rel. int.
11.8	15.0
23.7	6.2
30.3	22.2
30.9	11.6
35.3	100.0
35.9	20.1
47.6	15.6
53.8	20.8
64.1	17.5
66.0	16.1
66.4	20.3
88.4	7.6

```
Zr2PbC
1.0
3.4083 0.0000 0.0000
-1.7042 2.9517 0.0000
0.0000 0.0000 15.0172
Zr Pb C
4 2 2
Direct
0.3333 0.6667 0.0824
0.3333 0.6667 0.4176
0.6667 0.3333 0.5824
0.6667 0.3333 0.9176
0.3333 0.6667 0.7500
0.6667 0.3333 0.2500
0.0000 0.0000 0.0000
0.0000 0.0000 0.5000
```

The following is a computed powder X-ray diffraction pattern of CeMg2. It was derived from a structure optimized by DFT (GGA-PBE), using Cu Ka.
Peak positions follow from Bragg's law for the DFT cell and can differ from measured ones.

Main lines, by angle (10° ≤ 2θ ≤ 90°):
2θ/deg	Rel. int.
18.3	100.0
19.7	54.1
21.5	17.9
30.2	18.7
31.0	21.6
31.1	16.0
33.4	40.8
33.6	63.0
34.1	21.9
35.4	47.0
36.9	63.3
55.3	18.7

```
CeMg2
1.0
5.0512 -2.8743 0.0000
5.0512 2.8743 0.0000
-2.6930 0.0000 5.3629
Ce Mg
2 4
Direct
0.0758 0.9242 0.7500
0.9242 0.0758 0.2500
0.2547 0.4138 0.2515
0.4138 0.2547 0.7515
0.5862 0.7453 0.2485
0.7453 0.5862 0.7485
```

The following is a computed powder X-ray diffraction pattern of Pb10SCl4O12. It was derived from a structure optimized by DFT (GGA-PBE), using Cu Ka.
Peak positions follow from Bragg's law for the DFT cell and can differ from measured ones.

Main lines, by angle (10° ≤ 2θ ≤ 90°):
2θ/deg	Rel. int.
13.9	29.4
22.5	27.1
22.9	27.8
23.2	33.5
23.4	43.8
28.1	34.6
29.5	66.5
30.2	60.1
30.9	51.1
31.2	100.0
31.4	49.2
54.0	28.5

```
Pb10SCl4O12
1.0
9.0667 0.0000 0.0000
2.3558 10.5846 0.0000
1.2265 5.1771 12.0203
Pb S Cl O
20 2 8 24
Direct
0.0022 0.3451 0.4741
0.1200 0.8772 0.2124
0.1429 0.2275 0.2460
0.1500 0.7598 0.9677
0.1788 0.4312 0.9398
0.2839 0.3275 0.7048
0.3501 0.5033 0.4066
0.3496 0.8309 0.4429
0.4458 0.0666 0.1150
0.4541 0.4168 0.1477
0.5459 0.5832 0.8523
0.5542 0.9334 0.8850
0.6504 0.1691 0.5571
0.6499 0.4967 0.5934
0.7161 0.6725 0.2952
0.8212 0.5688 0.0602
0.8500 0.2402 0.0323
0.8571 0.7725 0.7540
0.8800 0.1228 0.7876
0.9978 0.6549 0.5259
0.2277 0.9832 0.6920
0.7723 0.0168 0.3080
0.0612 0.5928 0.2008
0.1953 0.0956 0.9770
0.2797 0.6117 0.6757
0.4228 0.7332 0.1452
0.5772 0.2668 0.8548
0.7203 0.3883 0.3243
0.8047 0.9044 0.0230
0.9388 0.4072 0.7992
0.0021 0.6460 0.9183
0.0854 0.9343 0.7514
0.1514 0.4473 0.5405
0.1827 0.7271 0.3948
0.2070 0.1322 0.6733
0.2468 0.9693 0.5850
0.2717 0.9982 0.2553
0.3322 0.2766 0.1139
0.3351 0.3498 0.3200
0.3354 0.5715 0.9778
0.3574 0.8987 0.7688
0.4804 0.3578 0.5737
0.5196 0.6422 0.4263
0.6426 0.1013 0.2312
0.6646 0.4285 0.0222
0.6649 0.6502 0.6800
0.6678 0.7234 0.8861
0.7283 0.0018 0.7447
0.7532 0.0307 0.4150
0.7930 0.8678 0.3267
0.8173 0.2729 0.6052
0.8486 0.5527 0.4595
0.9146 0.0657 0.2486
0.9979 0.3540 0.0817
```

The following is a computed powder X-ray diffraction pattern of BaLa2FeS5. It was derived from a structure optimized by DFT (GGA-PBE), using Cu Ka.
Peak positions follow from Bragg's law for the DFT cell and can differ from measured ones.

Main lines, by angle (10° ≤ 2θ ≤ 90°):
2θ/deg	Rel. int.
20.5	17.9
25.7	38.1
25.9	75.4
26.4	31.7
31.6	25.4
31.9	100.0
35.4	44.6
41.6	20.0
41.9	32.9
46.2	18.2
47.3	26.3
51.2	16.9

```
BaLa2FeS5
1.0
-4.0061 4.0061 6.7561
4.0061 -4.0061 6.7561
4.0061 4.0061 -6.7561
Ba La Fe S
2 4 2 10
Direct
0.2500 0.2500 0.0000
0.7500 0.7500 0.0000
0.1629 0.6629 0.8257
0.3371 0.1629 0.5000
0.6629 0.8371 0.5000
0.8371 0.3371 0.1743
0.2500 0.7500 0.5000
0.7500 0.2500 0.5000
0.0000 0.0000 0.0000
0.0108 0.2148 0.5000
0.2148 0.7148 0.2039
0.2852 0.4892 0.5000
0.4892 0.9892 0.2039
0.5000 0.5000 0.0000
0.5108 0.0108 0.7961
0.7148 0.5108 0.5000
0.7852 0.2852 0.7961
0.9892 0.7852 0.5000
```

The following is a computed powder X-ray diffraction pattern of Os3Cl. It was derived from a structure optimized by DFT (GGA-PBE), using Cu Ka.
Peak positions follow from Bragg's law for the DFT cell and can differ from measured ones.

Main lines, by angle (10° ≤ 2θ ≤ 90°):
2θ/deg	Rel. int.
24.8	15.5
28.8	8.2
41.1	100.0
48.6	8.3
50.9	2.4
59.5	16.9
65.5	3.5
67.4	3.2
74.9	34.6
80.3	2.7
89.2	11.6

```
Os3Cl
1.0
0.0000 3.1052 3.1052
3.1052 0.0000 3.1052
3.1052 3.1052 0.0000
Os Cl
3 1
Direct
0.0000 0.0000 0.0000
0.2500 0.2500 0.2500
0.7500 0.7500 0.7500
0.5000 0.5000 0.5000
```

The following is a computed powder X-ray diffraction pattern of Te2MoW2Se4. It was derived from a structure optimized by DFT (GGA-PBE), using Cu Ka.
Peak positions follow from Bragg's law for the DFT cell and can differ from measured ones.

Main lines, by angle (10° ≤ 2θ ≤ 90°):
2θ/deg	Rel. int.
11.3	100.0
14.1	16.8
30.3	30.9
30.5	10.8
32.5	13.2
34.9	46.0
36.5	55.8
42.0	24.3
44.1	43.0
53.9	31.3
55.3	11.0
76.0	12.8

```
Te2MoW2Se4
1.0
3.4016 0.0000 0.0000
-1.7008 2.9459 0.0000
0.0000 0.0000 31.4401
Te Mo W Se
2 1 2 4
Direct
0.0000 0.0000 0.0000
0.0000 0.0000 0.1197
0.6667 0.3333 0.5972
0.0000 0.0000 0.8285
0.6667 0.3333 0.0599
0.0000 0.0000 0.5447
0.0000 0.0000 0.6497
0.6667 0.3333 0.7759
0.6667 0.3333 0.8811
```